Record 1
This entry pairs a crystal structure of Co5Ge2N6 with its computed powder diffraction line list. Radiation: Cu Kα (λ = 1.5418 Å). Structure: a structure optimized by DFT (GGA-PBE).

Atomic structure:
abc: 5.7181 5.7181 12.7457
angles: 109.12 109.12 51.04
Fractional coordinates of all 26 atoms:
Co1 0.0176 0.1538 0.4533
Co2 0.1068 0.8932 0.7500
Co3 0.1538 0.0176 0.9533
Co4 0.2658 0.6327 0.3282
Co5 0.3673 0.7342 0.1718
Co6 0.6327 0.2658 0.8282
Co7 0.7342 0.3673 0.6718
Co8 0.8462 0.9824 0.0467
Co9 0.8932 0.1068 0.2500
Co10 0.9824 0.8462 0.5467
Ge1 0.1427 0.4902 0.9218
Ge2 0.4902 0.1427 0.4218
Ge3 0.5098 0.8573 0.5782
Ge4 0.8573 0.5098 0.0782
N1 0.0590 0.7015 0.1761
N2 0.1450 0.5742 0.4264
N3 0.2635 0.6425 0.8483
N4 0.2985 0.9410 0.3239
N5 0.3575 0.7365 0.6517
N6 0.4258 0.8550 0.0736
N7 0.5742 0.1450 0.9264
N8 0.6425 0.2635 0.3483
N9 0.7015 0.0590 0.6761
N10 0.7365 0.3575 0.1517
N11 0.8550 0.4258 0.5736
N12 0.9410 0.2985 0.8239

The 10 most intense peaks (2θ from 10° to 90°), by angle:
| d (Å) | I/Imax |
| --- | --- |
| 4.808 | 87.0 |
| 3.278 | 73.4 |
| 3.210 | 100.0 |
| 2.464 | 53.1 |
| 2.327 | 68.0 |
| 2.289 | 54.0 |
| 2.250 | 83.0 |
| 2.223 | 87.3 |
| 1.892 | 48.2 |
| 1.606 | 51.9 |



Record 2
This entry pairs a crystal structure of Ac2HfVS6 with its computed powder diffraction line list. Radiation: Cu Kα (λ = 1.5418 Å). Structure: a structure optimized by DFT (GGA-PBE).

Atomic structure:
abc: 6.7872 9.7157 6.9932
angles: 90.00 90.00 90.00
Fractional coordinates of all 20 atoms:
Ac1 0.2500 0.0297 0.2081
Ac2 0.2500 0.4703 0.2081
Ac3 0.7500 0.5297 0.7919
Ac4 0.7500 0.9703 0.7919
Hf1 0.2500 0.2500 0.7200
Hf2 0.7500 0.7500 0.2800
V1 0.2500 0.7500 0.7670
V2 0.7500 0.2500 0.2330
S1 0.0065 0.7500 0.0175
S2 0.0065 0.2500 0.4628
S3 0.2500 0.5034 0.7725
S4 0.2500 0.9966 0.7725
S5 0.4935 0.2500 0.4628
S6 0.4935 0.7500 0.0175
S7 0.5065 0.2500 0.9825
S8 0.5065 0.7500 0.5372
S9 0.7500 0.0034 0.2275
S10 0.7500 0.4966 0.2275
S11 0.9935 0.7500 0.5372
S12 0.9935 0.2500 0.9825

The 10 most intense peaks (2θ from 10° to 90°), by angle:
| d (Å) | I/Imax |
| --- | --- |
| 5.564 | 21.1 |
| 3.497 | 24.3 |
| 3.439 | 100.0 |
| 3.394 | 28.6 |
| 2.782 | 14.1 |
| 2.433 | 58.5 |
| 2.222 | 13.4 |
| 2.008 | 14.0 |
| 1.968 | 22.4 |
| 1.720 | 22.5 |



Record 3
This entry pairs a crystal structure of Ac2GaAg4Sn3 with its computed powder diffraction line list. Radiation: Cu Kα (λ = 1.5418 Å). Structure: a structure optimized by DFT (GGA-PBE).

Atomic structure:
abc: 4.6870 4.6870 11.4861
angles: 90.00 90.00 90.00
Fractional coordinates of all 10 atoms:
Ac1 0.0000 0.5000 0.2492
Ac2 0.5000 0.0000 0.7508
Ga1 0.5000 0.5000 0.0000
Ag1 0.0000 0.0000 0.5000
Ag2 0.0000 0.5000 0.8717
Ag3 0.5000 0.0000 0.1283
Ag4 0.5000 0.5000 0.5000
Sn1 0.0000 0.0000 0.0000
Sn2 0.0000 0.5000 0.6351
Sn3 0.5000 0.0000 0.3649

The 10 most intense peaks (2θ from 10° to 90°), by angle:
| d (Å) | I/Imax |
| --- | --- |
| 3.314 | 20.1 |
| 2.965 | 67.5 |
| 2.871 | 100.0 |
| 2.343 | 59.2 |
| 2.063 | 33.3 |
| 1.839 | 34.5 |
| 1.657 | 33.1 |
| 1.548 | 27.4 |
| 1.435 | 31.6 |
| 1.172 | 14.9 |